Starting from a structure optimized by DFT (PBE), the XRD peak list of Na5MgCl8 was calculated for Cu Kα.

Most intense lines, 2θ from 15° to 90°, sorted by position:
2θ 21.97, rel. 11, hkl 2 2 0
2θ 25.82, rel. 37, hkl 3 1 1
2θ 26.99, rel. 61, hkl 2 2 2
2θ 31.26, rel. 91, hkl 4 0 0
2θ 38.53, rel. 8, hkl 4 2 2
2θ 40.97, rel. 17, hkl 5 1 1
2θ 44.79, rel. 100, hkl 4 4 0
2θ 53.08, rel. 18, hkl 6 2 2
2θ 55.63, rel. 18, hkl 4 4 4
2θ 65.21, rel. 14, hkl 8 0 0
2θ 74.09, rel. 20, hkl 8 4 0
2θ 82.59, rel. 26, hkl 8 4 4

Atomic structure:
a b c (Å): 11.446 11.446 11.446
angles (deg): 90.00 90.00 90.00
Space group F-43m (No. 216)
Symmetry-distinct sites (fractional):
Na1 0.000 0.000 0.000
Na2 0.125 0.125 0.375
Mg1 0.250 0.250 0.750
Cl1 0.129 0.129 0.629
Cl2 0.134 0.134 0.134